Simulated PXRD pattern
Compound: Tm2Ni12P7
Radiation: λ = 1.5418 Å (Cu Kα)
Structure: the PBE geometry in Alexandria
No peak broadening, texture or thermal motion is included.

Structure:
```
Tm2Ni12P7
1.0
9.0534 0.0000 0.0000
-4.5267 7.8404 0.0000
0.0000 0.0000 3.6707
Tm Ni P
2 12 7
Direct
0.3333 0.6667 0.2512
0.6667 0.3333 0.7488
0.0580 0.4358 0.7503
0.1142 0.2565 0.2454
0.1423 0.8858 0.2454
0.2565 0.1423 0.7546
0.3778 0.9420 0.7503
0.4358 0.3778 0.2497
0.5642 0.6222 0.7503
0.6222 0.0580 0.2497
0.7435 0.8577 0.2454
0.8577 0.1142 0.7546
0.8858 0.7435 0.7546
0.9420 0.5642 0.2497
0.0000 0.0000 0.5000
0.1140 0.7059 0.7507
0.2941 0.4080 0.7507
0.4080 0.1140 0.2493
0.5920 0.8860 0.7507
0.7059 0.5920 0.2493
0.8860 0.2941 0.2493
```

The 10 most intense peaks (2θ from 10° to 90°), by angle:
26.82°, 3.324 Å, I = 12; 30.16°, 2.963 Å, I = 10; 34.31°, 2.613 Å, I = 8; 39.07°, 2.306 Å, I = 100; 39.83°, 2.263 Å, I = 11; 49.67°, 1.835 Å, I = 15; 53.56°, 1.711 Å, I = 17; 68.26°, 1.374 Å, I = 9; 76.05°, 1.251 Å, I = 10; 85.94°, 1.131 Å, I = 11



Simulated PXRD pattern
Compound: CeSmErCd
Radiation: λ = 1.5418 Å (Cu Kα)
Structure: the PBE geometry in Alexandria
No peak broadening, texture or thermal motion is included.

Structure:
```
CeSmErCd
1.0
0.0000 3.8229 3.8229
3.8229 0.0000 3.8229
3.8229 3.8229 0.0000
Ce Sm Er Cd
1 1 1 1
Direct
0.0000 0.0000 0.0000
0.7500 0.7500 0.7500
0.2500 0.2500 0.2500
0.5000 0.5000 0.5000
```

The 9 most intense peaks (2θ from 10° to 90°), by angle:
20.12°, 4.414 Å, I = 1; 23.27°, 3.823 Å, I = 1; 33.14°, 2.703 Å, I = 100; 47.57°, 1.911 Å, I = 18; 53.61°, 1.710 Å, I = 1; 59.20°, 1.561 Å, I = 37; 69.55°, 1.352 Å, I = 12; 79.24°, 1.209 Å, I = 16; 88.62°, 1.104 Å, I = 4



What did the second record say?
Simulated PXRD pattern
Compound: CeSmErCd
Radiation: λ = 1.5418 Å (Cu Kα)
Structure: the PBE geometry in Alexandria
No peak broadening, texture or thermal motion is included.

Structure:
```
CeSmErCd
1.0
0.0000 3.8229 3.8229
3.8229 0.0000 3.8229
3.8229 3.8229 0.0000
Ce Sm Er Cd
1 1 1 1
Direct
0.0000 0.0000 0.0000
0.7500 0.7500 0.7500
0.2500 0.2500 0.2500
0.5000 0.5000 0.5000
```

The 9 most intense peaks (2θ from 10° to 90°), by angle:
20.12°, 4.414 Å, I = 1; 23.27°, 3.823 Å, I = 1; 33.14°, 2.703 Å, I = 100; 47.57°, 1.911 Å, I = 18; 53.61°, 1.710 Å, I = 1; 59.20°, 1.561 Å, I = 37; 69.55°, 1.352 Å, I = 12; 79.24°, 1.209 Å, I = 16; 88.62°, 1.104 Å, I = 4